Simulated PXRD pattern of Fe7Sb10Cl8O18 for λ = 1.5418 Å (Cu Kα), from a DFT-relaxed cell (PBE+U, the Materials Project).
No peak broadening, texture or thermal motion is included.

Crystal structure
a b c (Å): 9.844 10.074 10.077
angles (deg): 72.58 63.91 65.42
Fractional positions:
Fe 0.000 0.000 0.000
Fe 0.016 0.864 0.641
Fe 0.338 0.588 0.469
Fe 0.355 0.705 0.731
Fe 0.645 0.295 0.269
Fe 0.662 0.412 0.531
Fe 0.984 0.136 0.359
Sb 0.019 0.766 0.327
Sb 0.301 0.346 0.794
Sb 0.327 0.481 0.088
Sb 0.331 0.972 0.426
Sb 0.339 0.870 0.132
Sb 0.661 0.130 0.868
Sb 0.669 0.028 0.574
Sb 0.673 0.519 0.912
Sb 0.699 0.654 0.206
Sb 0.981 0.234 0.673
Cl 0.032 0.610 0.633
Cl 0.073 0.722 0.923
Cl 0.275 0.981 0.780
Cl 0.360 0.323 0.441
Cl 0.640 0.677 0.559
Cl 0.725 0.019 0.220
Cl 0.927 0.278 0.077
Cl 0.968 0.390 0.367
O 0.068 0.077 0.546
O 0.102 0.906 0.147
O 0.226 0.026 0.271
O 0.259 0.705 0.296
O 0.264 0.797 0.557
O 0.360 0.344 0.964
O 0.402 0.496 0.657
O 0.442 0.610 0.910
O 0.490 0.821 0.260
O 0.510 0.179 0.740
O 0.558 0.390 0.090
O 0.598 0.504 0.343
O 0.640 0.656 0.036
O 0.736 0.203 0.443
O 0.741 0.295 0.704
O 0.774 0.974 0.729
O 0.898 0.094 0.853
O 0.932 0.923 0.454

The 10 most intense peaks (2θ = 10–80°), low angle first:
2θ 11.80, rel. 55; 2θ 14.86, rel. 45; 2θ 23.72, rel. 35; 2θ 25.28, rel. 29; 2θ 29.21, rel. 100; 2θ 29.81, rel. 86; 2θ 32.20, rel. 73; 2θ 35.42, rel. 37; 2θ 35.55, rel. 26; 2θ 36.33, rel. 33



Simulated PXRD pattern of FeSbCl8O8 for λ = 1.5418 Å (Cu Kα), from a DFT-relaxed cell (PBE+U, the Materials Project).
No peak broadening, texture or thermal motion is included.

Crystal structure
a b c (Å): 6.910 6.910 8.877
angles (deg): 90.00 90.00 90.00
Fractional positions:
Fe 0.000 0.000 0.000
Sb 0.500 0.500 0.500
Cl 0.000 0.000 0.248
Cl 0.000 0.000 0.752
Cl 0.250 0.250 0.500
Cl 0.250 0.750 0.500
Cl 0.500 0.500 0.234
Cl 0.500 0.500 0.766
Cl 0.750 0.250 0.500
Cl 0.750 0.750 0.500
O 0.000 0.263 0.000
O 0.000 0.500 0.313
O 0.000 0.500 0.687
O 0.000 0.737 0.000
O 0.263 0.000 0.000
O 0.500 0.000 0.313
O 0.500 0.000 0.687
O 0.737 0.000 0.000

The 10 most intense peaks (2θ = 10–80°), low angle first:
2θ 16.26, rel. 100; 2θ 18.16, rel. 59; 2θ 20.01, rel. 15; 2θ 25.79, rel. 24; 2θ 30.63, rel. 18; 2θ 32.90, rel. 31; 2θ 36.79, rel. 32; 2θ 38.21, rel. 21; 2θ 44.86, rel. 16; 2θ 53.01, rel. 16



Simulated PXRD pattern of FeSbCl8O8 for λ = 1.5418 Å (Cu Kα), from a DFT-relaxed cell (PBE+U, the Materials Project).
No peak broadening, texture or thermal motion is included.

Crystal structure
a b c (Å): 7.472 8.574 9.075
angles (deg): 92.22 93.07 91.30
Fractional positions:
Fe 0.000 0.000 0.000
Sb 0.492 0.518 0.500
Cl 0.011 0.964 0.249
Cl 0.035 0.997 0.752
Cl 0.259 0.701 0.495
Cl 0.266 0.303 0.471
Cl 0.487 0.506 0.760
Cl 0.512 0.524 0.242
Cl 0.719 0.307 0.504
Cl 0.748 0.703 0.532
O 0.000 0.445 0.388
O 0.011 0.783 0.016
O 0.243 0.986 0.991
O 0.487 0.002 0.423
O 0.506 0.982 0.557
O 0.761 0.118 0.998
O 0.882 0.226 0.008
O 0.952 0.488 0.602

The 10 most intense peaks (2θ = 10–80°), low angle first:
2θ 13.95, rel. 100; 2θ 14.52, rel. 88; 2θ 14.97, rel. 71; 2θ 15.56, rel. 68; 2θ 15.80, rel. 54; 2θ 15.95, rel. 98; 2θ 19.61, rel. 52; 2θ 20.74, rel. 38; 2θ 31.39, rel. 60; 2θ 32.22, rel. 43



Simulated PXRD pattern of YFe3Se2ClO8 for λ = 1.5418 Å (Cu Kα), from a DFT-relaxed cell (PBE+U, the Materials Project).
No peak broadening, texture or thermal motion is included.

Crystal structure
a b c (Å): 6.516 9.673 7.259
angles (deg): 90.00 90.00 90.00
Fractional positions:
Y 0.250 0.250 0.228
Y 0.750 0.750 0.772
Fe 0.000 0.000 0.500
Fe 0.000 0.500 0.500
Fe 0.250 0.250 0.701
Fe 0.500 0.000 0.500
Fe 0.500 0.500 0.500
Fe 0.750 0.750 0.299
Se 0.250 0.563 0.914
Se 0.250 0.937 0.914
Se 0.750 0.063 0.086
Se 0.750 0.437 0.086
Cl 0.250 0.750 0.372
Cl 0.750 0.250 0.628
O 0.042 0.591 0.771
O 0.042 0.909 0.771
O 0.250 0.113 0.491
O 0.250 0.117 0.924
O 0.250 0.383 0.924
O 0.250 0.387 0.491
O 0.458 0.591 0.771
O 0.458 0.909 0.771
O 0.542 0.091 0.229
O 0.542 0.409 0.229
O 0.750 0.613 0.509
O 0.750 0.617 0.076
O 0.750 0.883 0.076
O 0.750 0.887 0.509
O 0.958 0.091 0.229
O 0.958 0.409 0.229

The 10 most intense peaks (2θ = 10–80°), low angle first:
2θ 16.40, rel. 46; 2θ 26.02, rel. 59; 2θ 27.37, rel. 46; 2θ 30.06, rel. 58; 2θ 30.80, rel. 100; 2θ 30.94, rel. 59; 2θ 33.15, rel. 43; 2θ 33.37, rel. 45; 2θ 35.45, rel. 93; 2θ 53.52, rel. 52



Simulated PXRD pattern of Sr3Fe2Cl2O4 for λ = 1.5418 Å (Cu Kα), from a DFT-relaxed cell (PBE+U, the Materials Project).
No peak broadening, texture or thermal motion is included.

Crystal structure
a b c (Å): 11.735 11.735 11.735
angles (deg): 159.98 159.98 28.46
Fractional positions:
Sr 0.000 0.000 0.000
Sr 0.152 0.152 0.000
Sr 0.848 0.848 0.000
Fe 0.425 0.425 0.000
Fe 0.575 0.575 0.000
Cl 0.295 0.295 0.000
Cl 0.705 0.705 0.000
O 0.078 0.578 0.500
O 0.422 0.922 0.500
O 0.578 0.078 0.500
O 0.922 0.422 0.500

The 10 most intense peaks (2θ = 10–80°), low angle first:
2θ 29.41, rel. 11; 2θ 31.00, rel. 57; 2θ 35.31, rel. 100; 2θ 39.24, rel. 16; 2θ 44.42, rel. 36; 2θ 57.97, rel. 44; 2θ 64.62, rel. 11; 2θ 73.40, rel. 9; 2θ 74.69, rel. 9; 2θ 75.84, rel. 10



Simulated PXRD pattern of Sr3Fe2Cl2O5 for λ = 1.5418 Å (Cu Kα), from a DFT-relaxed cell (PBE+U, the Materials Project).
No peak broadening, texture or thermal motion is included.

Crystal structure
a b c (Å): 12.491 12.491 12.491
angles (deg): 161.57 161.57 26.17
Fractional positions:
Sr 0.000 0.000 0.000
Sr 0.155 0.155 0.000
Sr 0.845 0.845 0.000
Fe 0.421 0.421 0.000
Fe 0.579 0.579 0.000
Cl 0.297 0.297 0.000
Cl 0.703 0.703 0.000
O 0.090 0.590 0.500
O 0.410 0.910 0.500
O 0.500 0.500 0.000
O 0.590 0.090 0.500
O 0.910 0.410 0.500

The 10 most intense peaks (2θ = 10–80°), low angle first:
2θ 14.56, rel. 10; 2θ 28.89, rel. 15; 2θ 31.63, rel. 64; 2θ 34.17, rel. 100; 2θ 38.82, rel. 23; 2θ 45.35, rel. 39; 2θ 57.98, rel. 41; 2θ 62.75, rel. 10; 2θ 66.07, rel. 12; 2θ 75.11, rel. 10



Simulated PXRD pattern of Sr2FeClO3 for λ = 1.5418 Å (Cu Kα), from a DFT-relaxed cell (PBE+U, the Materials Project).
No peak broadening, texture or thermal motion is included.

Crystal structure
a b c (Å): 3.974 3.974 14.461
angles (deg): 90.00 90.00 90.00
Fractional positions:
Sr 0.250 0.250 0.096
Sr 0.250 0.250 0.344
Sr 0.750 0.750 0.656
Sr 0.750 0.750 0.904
Fe 0.250 0.250 0.792
Fe 0.750 0.750 0.208
Cl 0.250 0.250 0.576
Cl 0.750 0.750 0.424
O 0.250 0.250 0.925
O 0.250 0.750 0.231
O 0.250 0.750 0.769
O 0.750 0.250 0.231
O 0.750 0.250 0.769
O 0.750 0.750 0.075

The 10 most intense peaks (2θ = 10–80°), low angle first:
2θ 12.24, rel. 24; 2θ 29.12, rel. 33; 2θ 31.84, rel. 100; 2θ 33.51, rel. 98; 2θ 38.50, rel. 28; 2θ 40.66, rel. 32; 2θ 45.65, rel. 55; 2θ 57.80, rel. 39; 2θ 66.55, rel. 16; 2θ 75.67, rel. 16



Simulated PXRD pattern of Sr4Fe3ClO8 for λ = 1.5418 Å (Cu Kα), from a DFT-relaxed cell (PBE+U, the Materials Project).
No peak broadening, texture or thermal motion is included.

Crystal structure
a b c (Å): 3.971 3.971 15.643
angles (deg): 90.00 90.00 90.00
Fractional positions:
Sr 0.000 0.000 0.112
Sr 0.000 0.000 0.375
Sr 0.000 0.000 0.625
Sr 0.000 0.000 0.888
Fe 0.500 0.500 0.000
Fe 0.500 0.500 0.254
Fe 0.500 0.500 0.746
Cl 0.500 0.500 0.500
O 0.000 0.500 0.000
O 0.000 0.500 0.288
O 0.000 0.500 0.712
O 0.500 0.000 0.000
O 0.500 0.000 0.288
O 0.500 0.000 0.712
O 0.500 0.500 0.135
O 0.500 0.500 0.865

The 10 most intense peaks (2θ = 10–80°), low angle first:
2θ 31.87, rel. 46; 2θ 32.13, rel. 100; 2θ 39.51, rel. 11; 2θ 45.70, rel. 31; 2θ 46.44, rel. 10; 2θ 56.95, rel. 37; 2θ 57.43, rel. 19; 2θ 66.62, rel. 9; 2θ 67.20, rel. 12; 2θ 75.89, rel. 8



Simulated PXRD pattern of Fe2Te4ClO12 for λ = 1.5418 Å (Cu Kα), from a DFT-relaxed cell (PBE+U, the Materials Project).
No peak broadening, texture or thermal motion is included.

Crystal structure
a b c (Å): 5.303 6.600 9.007
angles (deg): 73.62 77.75 74.07
Fractional positions:
Fe 0.225 0.130 0.440
Fe 0.775 0.870 0.560
Te 0.183 0.818 0.835
Te 0.319 0.651 0.291
Te 0.681 0.349 0.709
Te 0.817 0.182 0.165
Cl 0.500 0.000 0.000
O 0.043 0.751 0.171
O 0.080 0.249 0.243
O 0.153 0.843 0.437
O 0.277 0.407 0.454
O 0.381 0.965 0.647
O 0.416 0.527 0.848
O 0.584 0.473 0.152
O 0.619 0.035 0.353
O 0.723 0.593 0.546
O 0.847 0.157 0.563
O 0.920 0.751 0.757
O 0.957 0.249 0.829

The 10 most intense peaks (2θ = 10–80°), low angle first:
2θ 20.03, rel. 100; 2θ 24.21, rel. 60; 2θ 25.26, rel. 74; 2θ 27.01, rel. 72; 2θ 28.10, rel. 38; 2θ 28.35, rel. 52; 2θ 29.30, rel. 41; 2θ 33.18, rel. 53; 2θ 35.60, rel. 41; 2θ 36.34, rel. 34